1.
Starting from a structure optimized by DFT (PBE), the powder XRD pattern of KIn2Hg4 was calculated for Cu Kα (λ = 1.5418 Å).
Neutral-atom scattering factors, no anomalous dispersion.

Principal peaks in the range 2θ from 5° to 70°, by angle:
2θ 12.18, rel. 54
2θ 29.70, rel. 100
2θ 32.81, rel. 37
2θ 33.25, rel. 36
2θ 35.12, rel. 9
2θ 38.87, rel. 59
2θ 44.80, rel. 10
2θ 47.41, rel. 27
2θ 56.67, rel. 14
2θ 57.23, rel. 16
2θ 62.65, rel. 15
2θ 63.19, rel. 15

Cell and atoms:
a = 7.7627 Å, b = 7.7627 Å, c = 5.3894 Å
α = 90.00°, β = 90.00°, γ = 138.82°
Element x y z (fractional)
K  0.0000  0.0000  0.0000
In  0.3987  0.6013  0.5000
In  0.6013  0.3987  0.5000
Hg  0.1731  0.8269  0.5000
Hg  0.3076  0.6924  0.0000
Hg  0.6924  0.3076  0.0000
Hg  0.8269  0.1731  0.5000


2.
Starting from a structure optimized by DFT (PBE), the powder XRD pattern of PrMg3Tl3 was calculated for Cu Kα (λ = 1.5418 Å).
Neutral-atom scattering factors, no anomalous dispersion.

Principal peaks in the range 2θ from 5° to 70°, by angle:
2θ 22.92, rel. 38
2θ 25.67, rel. 100
2θ 28.17, rel. 90
2θ 40.27, rel. 25
2θ 41.99, rel. 28
2θ 43.65, rel. 55
2θ 46.84, rel. 28
2θ 52.76, rel. 16
2θ 54.17, rel. 27
2θ 64.70, rel. 24
2θ 65.94, rel. 16
2θ 68.40, rel. 18

Cell and atoms:
a = 7.7587 Å, b = 7.7587 Å, c = 7.7587 Å
α = 90.00°, β = 90.00°, γ = 90.00°
Element x y z (fractional)
Pr  0.0000  0.0000  0.0000
Pr  0.5000  0.5000  0.5000
Mg  0.0000  0.2500  0.5000
Mg  0.0000  0.7500  0.5000
Mg  0.2500  0.5000  0.0000
Mg  0.5000  0.0000  0.2500
Mg  0.5000  0.0000  0.7500
Mg  0.7500  0.5000  0.0000
Tl  0.0000  0.5000  0.2500
Tl  0.0000  0.5000  0.7500
Tl  0.2500  0.0000  0.5000
Tl  0.5000  0.2500  0.0000
Tl  0.5000  0.7500  0.0000
Tl  0.7500  0.0000  0.5000


3.
Starting from a structure optimized by DFT (PBE), the powder XRD pattern of CaB2H2O7 was calculated for Cu Kα (λ = 1.5418 Å).
Neutral-atom scattering factors, no anomalous dispersion.

Principal peaks in the range 2θ from 5° to 70°, by angle:
2θ 13.70, rel. 82
2θ 16.84, rel. 46
2θ 20.85, rel. 49
2θ 25.68, rel. 43
2θ 26.86, rel. 87
2θ 27.60, rel. 100
2θ 29.19, rel. 39
2θ 30.62, rel. 46
2θ 32.64, rel. 45
2θ 33.87, rel. 45
2θ 35.25, rel. 88
2θ 37.70, rel. 39

Cell and atoms:
a = 6.1981 Å, b = 6.4488 Å, c = 7.1074 Å
α = 74.00°, β = 70.43°, γ = 84.96°
Element x y z (fractional)
Ca  0.2040  0.2034  0.4095
Ca  0.7960  0.7966  0.5905
B  0.3314  0.6634  0.4445
B  0.3352  0.6471  0.0724
B  0.6648  0.3529  0.9276
B  0.6686  0.3366  0.5555
H  0.2427  0.5402  0.8557
H  0.4279  0.1430  0.9819
H  0.5721  0.8570  0.0181
H  0.7573  0.4598  0.1443
O  0.0233  0.0116  0.0742
O  0.1893  0.8366  0.4879
O  0.2155  0.5361  0.0035
O  0.2663  0.4725  0.6364
O  0.3028  0.5760  0.2797
O  0.4192  0.2790  0.6077
O  0.4884  0.8150  0.9391
O  0.5116  0.1850  0.0609
O  0.5808  0.7210  0.3923
O  0.6972  0.4240  0.7203
O  0.7337  0.5275  0.3636
O  0.7845  0.4639  0.9965
O  0.8107  0.1634  0.5121
O  0.9767  0.9884  0.9258


4.
Starting from a structure optimized by DFT (PBE), the powder XRD pattern of CsBa2NbS5 was calculated for Cu Kα (λ = 1.5418 Å).
Neutral-atom scattering factors, no anomalous dispersion.

Principal peaks in the range 2θ from 5° to 70°, by angle:
2θ 21.75, rel. 12
2θ 22.89, rel. 26
2θ 24.72, rel. 11
2θ 24.84, rel. 100
2θ 30.05, rel. 16
2θ 33.94, rel. 36
2θ 36.20, rel. 16
2θ 36.83, rel. 21
2θ 41.41, rel. 26
2θ 43.23, rel. 10
2θ 43.81, rel. 9
2θ 50.95, rel. 22

Cell and atoms:
a = 8.5407 Å, b = 8.5407 Å, c = 8.5407 Å
α = 146.80°, β = 125.89°, γ = 64.98°
Element x y z (fractional)
Cs  0.0000  0.0000  0.0000
Ba  0.2858  0.7858  0.5000
Ba  0.7142  0.2142  0.5000
Nb  0.5000  0.5000  0.0000
S  0.1519  0.3745  0.7774
S  0.4029  0.6255  0.7774
S  0.5000  0.0000  0.5000
S  0.5971  0.3745  0.2226
S  0.8481  0.6255  0.2226


What did the third record say?
Starting from a structure optimized by DFT (PBE), the powder XRD pattern of CaB2H2O7 was calculated for Cu Kα (λ = 1.5418 Å).
Neutral-atom scattering factors, no anomalous dispersion.

Principal peaks in the range 2θ from 5° to 70°, by angle:
2θ 13.70, rel. 82
2θ 16.84, rel. 46
2θ 20.85, rel. 49
2θ 25.68, rel. 43
2θ 26.86, rel. 87
2θ 27.60, rel. 100
2θ 29.19, rel. 39
2θ 30.62, rel. 46
2θ 32.64, rel. 45
2θ 33.87, rel. 45
2θ 35.25, rel. 88
2θ 37.70, rel. 39

Cell and atoms:
a = 6.1981 Å, b = 6.4488 Å, c = 7.1074 Å
α = 74.00°, β = 70.43°, γ = 84.96°
Element x y z (fractional)
Ca  0.2040  0.2034  0.4095
Ca  0.7960  0.7966  0.5905
B  0.3314  0.6634  0.4445
B  0.3352  0.6471  0.0724
B  0.6648  0.3529  0.9276
B  0.6686  0.3366  0.5555
H  0.2427  0.5402  0.8557
H  0.4279  0.1430  0.9819
H  0.5721  0.8570  0.0181
H  0.7573  0.4598  0.1443
O  0.0233  0.0116  0.0742
O  0.1893  0.8366  0.4879
O  0.2155  0.5361  0.0035
O  0.2663  0.4725  0.6364
O  0.3028  0.5760  0.2797
O  0.4192  0.2790  0.6077
O  0.4884  0.8150  0.9391
O  0.5116  0.1850  0.0609
O  0.5808  0.7210  0.3923
O  0.6972  0.4240  0.7203
O  0.7337  0.5275  0.3636
O  0.7845  0.4639  0.9965
O  0.8107  0.1634  0.5121
O  0.9767  0.9884  0.9258